For MnZnC2O6, a crystal structure in Alexandria, relaxed with GGA+U gives the computed X-ray diffraction stick pattern in this record (Cu Kα (weighted mean of Kα1 and Kα2)).

Cell and atoms:
Cell: 5.8787 5.8787 5.8787 Å, 47.97 47.97 47.97°
Positions (direct):
Mn (0.0000, 0.0000, 0.0000)
Zn (0.5000, 0.5000, 0.5000)
C (0.2471, 0.2471, 0.2471)
C (0.7529, 0.7529, 0.7529)
O (0.0276, 0.4844, 0.7446)
O (0.2554, 0.9724, 0.5156)
O (0.4844, 0.7446, 0.0276)
O (0.5156, 0.2554, 0.9724)
O (0.7446, 0.0276, 0.4844)
O (0.9724, 0.5156, 0.2554)

The 10 most intense peaks (15° ≤ 2θ ≤ 90°), sorted by position:
24.35 deg, rel. 38.7; 31.55 deg, rel. 100.0; 37.64 deg, rel. 23.3; 41.61 deg, rel. 15.9; 45.34 deg, rel. 21.7; 49.91 deg, rel. 11.8; 51.91 deg, rel. 20.8; 52.02 deg, rel. 31.9; 60.35 deg, rel. 15.6; 64.16 deg, rel. 11.9